# TmScCdGe
Computed XRD peak list, Cu Kα (weighted mean of Kα1 and Kα2). Input: a crystal structure in Alexandria, relaxed with PBE.
Peak positions follow from Bragg's law for the DFT cell and can differ from measured ones.

Atomic structure:
```
TmScCdGe
1.0
7.0306 0.0000 0.0000
0.0000 7.0306 0.0000
0.0000 0.0000 7.0306
Tm Sc Cd Ge
4 4 4 4
direct
0.0000 0.0000 0.0000 Tm
0.0000 0.5000 0.5000 Tm
0.5000 0.0000 0.5000 Tm
0.5000 0.5000 0.0000 Tm
0.0000 0.0000 0.5000 Sc
0.0000 0.5000 0.0000 Sc
0.5000 0.0000 0.0000 Sc
0.5000 0.5000 0.5000 Sc
0.2500 0.2500 0.2500 Cd
0.2500 0.7500 0.7500 Cd
0.7500 0.2500 0.7500 Cd
0.7500 0.7500 0.2500 Cd
0.2500 0.2500 0.7500 Ge
0.2500 0.7500 0.2500 Ge
0.7500 0.2500 0.2500 Ge
0.7500 0.7500 0.7500 Ge
```

Principal peaks in the range 5 to 70 degrees two-theta, sorted by position:
hkl, two_theta, Rel. int.
1 1 1, 21.90, 24
2 2 0, 36.14, 100
3 1 1, 42.65, 13
4 0 0, 52.03, 17
3 3 1, 57.10, 6
4 2 2, 64.98, 35
5 1 1, 69.47, 4